# SrCoSO
Simulated XRD peak list, Cu Kα. Input: a crystal structure in OQMD, relaxed with GGA+U.
Intensities are scaled so that the largest is 100.

Main lines, in order of rising 2θ (5 to 70 degrees two-theta):
h k l, 2θ (°), intensity
0 4 0, 26.8, 23
1 1 1, 28.1, 45
0 0 2, 30.0, 66
1 3 0, 30.4, 100
0 4 1, 30.7, 31
1 3 1, 34.0, 30
1 3 2, 43.2, 60
2 0 0, 46.3, 27
1 7 0, 53.5, 24
2 0 2, 56.2, 20

Structural model:
```
data_SrCoSO
_symmetry_space_group_name_H-M 'C m c 21'
_symmetry_Int_Tables_number 36
_cell_length_a 3.9204
_cell_length_b 13.3282
_cell_length_c 5.9558
_cell_angle_alpha 90.00
_cell_angle_beta 90.00
_cell_angle_gamma 90.00
loop_
_symmetry_equiv_pos_as_xyz
'x,y,z'
'-x,-y,z+1/2'
'-x,y,z'
'x,-y,z+1/2'
'x+1/2,y+1/2,z'
'-x+1/2,-y+1/2,z+1/2'
'-x+1/2,y+1/2,z'
'x+1/2,-y+1/2,z+1/2'
loop_
_atom_site_label
_atom_site_type_symbol
_atom_site_fract_x
_atom_site_fract_y
_atom_site_fract_z
Sr1 Sr 0.0000 0.1560 0.0000
Co1 Co 0.0000 0.4334 0.0812
S1 S 0.0000 0.1639 0.4981
O1 O 0.0000 0.4435 0.4142
```